This entry pairs a crystal structure of Tb4Er15Zr with its computed powder diffractogram. Radiation: Cu Kα (weighted mean of Kα1 and Kα2). Structure: a DFT-relaxed cell (GGA-PBE, Alexandria).
Intensities are scaled so that the largest is 100.

Cell and atoms:
```
data_Tb4Er15Zr
_chemical_formula_sum 'Tb4 Er15 Zr1'
_cell_length_a 4.9532
_cell_length_b 4.9532
_cell_length_c 24.6900
_cell_angle_alpha 90.00
_cell_angle_beta 90.00
_cell_angle_gamma 90.00
_symmetry_space_group_name_H-M 'P 4/m m m'
_symmetry_Int_Tables_number 123
_symmetry_space_group_name_Hall '-P 4 2'
loop_
_atom_site_label
_atom_site_type_symbol
_atom_site_fract_x
_atom_site_fract_y
_atom_site_fract_z
_atom_site_occupancy
Tb1 Tb 0.0000 0.0000 0.1012 1
Tb2 Tb 0.0000 0.0000 0.3022 1
Er1 Er 0.0000 0.5000 0.0000 1
Er2 Er 0.0000 0.5000 0.2025 1
Er3 Er 0.0000 0.5000 0.4062 1
Er4 Er 0.5000 0.5000 0.1010 1
Er5 Er 0.5000 0.5000 0.3030 1
Er6 Er 0.5000 0.5000 0.5000 1
Zr1 Zr 0.0000 0.0000 0.5000 1
```

Most intense lines, 2θ = 5–70°, low angle first:
| d/Å | I/Imax |
| --- | --- |
| 3.046 | 1 |
| 2.857 | 100 |
| 2.477 | 34 |
| 2.469 | 16 |
| 1.838 | 1 |
| 1.749 | 35 |
| 1.575 | 1 |
| 1.493 | 28 |
| 1.490 | 13 |
| 1.428 | 12 |